[1]
Calculated X-ray diffraction stick pattern
Compound: Rb2In6HgPb
Radiation: a wavelength of 1.5418 Å
Structure: a GGA-PBE-relaxed structure

Most intense lines, 10 to 80 degrees two-theta, by angle:
| d_spacing | two_theta | I/Imax |
| --- | --- | --- |
| 6.587 | 13.4 | 94 |
| 4.017 | 22.1 | 69 |
| 3.461 | 25.7 | 63 |
| 2.876 | 31.1 | 100 |
| 2.337 | 38.5 | 44 |
| 2.009 | 45.1 | 52 |

Atomic structure:
a = 14.3923 Å, b = 14.3923 Å, c = 14.3923 Å
α = 32.42°, β = 32.42°, γ = 32.42°
Atoms (fractional coordinates):
Rb 0.1535 0.1535 0.1535
Rb 0.2890 0.2890 0.2890
Rb 0.7110 0.7110 0.7110
Rb 0.8465 0.8465 0.8465
In 0.1582 0.5865 0.5865
In 0.1815 0.8071 0.8071
In 0.1929 0.1929 0.8185
In 0.1929 0.8185 0.1929
In 0.4135 0.4135 0.8418
In 0.4135 0.8418 0.4135
In 0.5865 0.1582 0.5865
In 0.5865 0.5865 0.1582
In 0.8071 0.1815 0.8071
In 0.8071 0.8071 0.1815
In 0.8185 0.1929 0.1929
In 0.8418 0.4135 0.4135
Hg 0.0000 0.0000 0.0000
Hg 0.5000 0.5000 0.5000
Pb 0.3772 0.3772 0.3772
Pb 0.6228 0.6228 0.6228

[2]
Calculated X-ray diffraction stick pattern
Compound: Ba3Pr2HoSe6
Radiation: a wavelength of 1.5418 Å
Structure: a GGA-PBE-relaxed structure

Most intense lines, 10 to 80 degrees two-theta, by angle:
| d_spacing | two_theta | I/Imax |
| --- | --- | --- |
| 3.132 | 28.5 | 100 |
| 2.242 | 40.2 | 37 |
| 2.188 | 41.3 | 37 |
| 1.794 | 50.9 | 20 |
| 1.414 | 66.1 | 15 |
| 1.387 | 67.5 | 16 |

Atomic structure:
a = 7.5781 Å, b = 7.5781 Å, c = 7.8327 Å
α = 99.31°, β = 99.31°, γ = 119.93°
Atoms (fractional coordinates):
Ba 0.0000 0.0000 0.0000
Ba 0.3299 0.6701 0.0000
Ba 0.6701 0.3299 0.0000
Pr 0.1656 0.8344 0.5000
Pr 0.8344 0.1656 0.5000
Ho 0.5000 0.5000 0.5000
Se 0.1054 0.4275 0.2816
Se 0.2524 0.2524 0.7218
Se 0.4275 0.1054 0.2816
Se 0.5725 0.8946 0.7184
Se 0.7476 0.7476 0.2782
Se 0.8946 0.5725 0.7184

[3]
Calculated X-ray diffraction stick pattern
Compound: Ta2IBr4
Radiation: a wavelength of 1.5418 Å
Structure: a GGA-PBE-relaxed structure

Most intense lines, 10 to 80 degrees two-theta, by angle:
| d_spacing | two_theta | I/Imax |
| --- | --- | --- |
| 6.702 | 13.2 | 100 |
| 6.597 | 13.4 | 31 |
| 4.652 | 19.1 | 27 |
| 2.960 | 30.2 | 16 |
| 2.715 | 33.0 | 16 |
| 1.990 | 45.6 | 14 |

Atomic structure:
a = 7.1502 Å, b = 7.1502 Å, c = 10.4555 Å
α = 106.47°, β = 106.47°, γ = 96.54°
Atoms (fractional coordinates):
Ta 0.0123 0.0123 0.1351
Ta 0.1330 0.7475 0.3717
Ta 0.2525 0.8670 0.6283
Ta 0.9877 0.9877 0.8649
I 0.2348 0.7652 0.0000
I 0.4263 0.5737 0.5000
Br 0.1502 0.1999 0.7256
Br 0.2220 0.2770 0.0750
Br 0.3323 0.0572 0.3615
Br 0.6595 0.1008 0.7343
Br 0.7230 0.7780 0.9250
Br 0.8001 0.8498 0.2744
Br 0.8992 0.3405 0.2657
Br 0.9428 0.6677 0.6385

[4]
Calculated X-ray diffraction stick pattern
Compound: La2NdYTm5
Radiation: a wavelength of 1.5418 Å
Structure: a GGA-PBE-relaxed structure

Most intense lines, 10 to 80 degrees two-theta, by angle:
| d_spacing | two_theta | I/Imax |
| --- | --- | --- |
| 3.109 | 28.7 | 44 |
| 3.065 | 29.1 | 54 |
| 2.901 | 30.8 | 100 |
| 1.951 | 46.6 | 21 |
| 1.736 | 52.7 | 25 |
| 1.646 | 55.9 | 18 |

Atomic structure:
a = 9.9257 Å, b = 9.9257 Å, c = 9.9257 Å
α = 128.21°, β = 128.21°, γ = 76.28°
Atoms (fractional coordinates):
La 0.1170 0.6170 0.7339
La 0.3830 0.1170 0.5000
La 0.6170 0.8830 0.5000
La 0.8830 0.3830 0.2661
Nd 0.2500 0.2500 0.0000
Nd 0.7500 0.7500 0.0000
Y 0.2500 0.7500 0.5000
Y 0.7500 0.2500 0.5000
Tm 0.0000 0.0000 0.0000
Tm 0.0748 0.1439 0.5000
Tm 0.1439 0.6439 0.0691
Tm 0.3561 0.4252 0.5000
Tm 0.4252 0.9252 0.0691
Tm 0.5000 0.5000 0.0000
Tm 0.5748 0.0748 0.9309
Tm 0.6439 0.5748 0.5000
Tm 0.8561 0.3561 0.9309
Tm 0.9252 0.8561 0.5000

[5]
Calculated X-ray diffraction stick pattern
Compound: TmSc4Ga
Radiation: a wavelength of 1.5418 Å
Structure: a GGA-PBE-relaxed structure

Most intense lines, 10 to 80 degrees two-theta, by angle:
| d_spacing | two_theta | I/Imax |
| --- | --- | --- |
| 4.780 | 18.6 | 20 |
| 3.594 | 24.8 | 41 |
| 2.919 | 30.6 | 22 |
| 2.594 | 34.6 | 36 |
| 2.522 | 35.6 | 39 |
| 2.462 | 36.5 | 100 |

Atomic structure:
a = 10.3254 Å, b = 10.3254 Å, c = 5.8374 Å
α = 106.38°, β = 106.38°, γ = 29.10°
Atoms (fractional coordinates):
Tm 0.2500 0.2500 0.1789
Tm 0.7500 0.7500 0.8211
Sc 0.0767 0.0767 0.9964
Sc 0.1581 0.1581 0.5842
Sc 0.3420 0.3420 0.7680
Sc 0.4234 0.4234 0.3427
Sc 0.5766 0.5766 0.6573
Sc 0.6580 0.6580 0.2320
Sc 0.8419 0.8419 0.4158
Sc 0.9233 0.9233 0.0036
Ga 0.0000 0.0000 0.5000
Ga 0.5000 0.5000 0.0000

[6]
Calculated X-ray diffraction stick pattern
Compound: BeI
Radiation: a wavelength of 1.5418 Å
Structure: a GGA-PBE-relaxed structure

Most intense lines, 10 to 80 degrees two-theta, by angle:
| d_spacing | two_theta | I/Imax |
| --- | --- | --- |
| 4.130 | 21.5 | 100 |
| 3.876 | 22.9 | 24 |
| 3.470 | 25.7 | 47 |
| 3.162 | 28.2 | 47 |
| 2.336 | 38.5 | 18 |
| 2.065 | 43.9 | 23 |

Atomic structure:
a = 15.4130 Å, b = 4.0052 Å, c = 6.9413 Å
α = 90.00°, β = 90.00°, γ = 90.00°
Atoms (fractional coordinates):
Be 0.0000 0.1478 0.0000
Be 0.0638 0.6513 0.0041
Be 0.4362 0.3487 0.5041
Be 0.5000 0.8522 0.5000
Be 0.5638 0.3487 0.5041
Be 0.9362 0.6513 0.0041
I 0.0000 0.4087 0.3250
I 0.1663 0.2444 0.9124
I 0.3337 0.7556 0.4124
I 0.5000 0.5913 0.8250
I 0.6663 0.7556 0.4124
I 0.8337 0.2444 0.9124